# 1
Simulated PXRD pattern of K2SrTlIn for Cu Kα, from a DFT-relaxed cell (PBE, Alexandria).
Kinematic intensities with the Lorentz-polarization factor, no thermal factor.

Most intense lines, 15° ≤ 2θ ≤ 90°, by intensity:
- 2θ = 33.0°, rel. 100, hkl 1 1 2
- 2θ = 28.3°, rel. 92, hkl 1 1 1
- 2θ = 15.7°, rel. 44, hkl 0 1 0
- 2θ = 31.7°, rel. 37, hkl 0 2 0
- 2θ = 33.2°, rel. 30, hkl 0 2 1
- 2θ = 28.8°, rel. 27, hkl 1 0 2
- 2θ = 24.9°, rel. 26, hkl 0 1 2
- 2θ = 18.4°, rel. 24, hkl 0 1 1
- 2θ = 29.0°, rel. 23, hkl 0 0 3
- 2θ = 57.3°, rel. 20, hkl 1 3 2

Crystal structure
Cell lengths 4.182, 5.640, 9.234 Å; angles 90.00, 90.00, 90.00 degrees
Space group Pmm2 (No. 25)
Inequivalent atoms, fractional coordinates:
K (0.000, 0.000, 0.000) x1
K (0.500, 0.500, 0.281) x1
Sr (0.000, 0.500, 0.674) x1
Tl (0.000, 0.000, 0.410) x1
In (0.500, 0.000, 0.663) x1

# 2
Simulated PXRD pattern of La16Dy7Y6 for Cu Kα, from a DFT-relaxed cell (PBE, Alexandria).
Kinematic intensities with the Lorentz-polarization factor, no thermal factor.

Most intense lines, 15° ≤ 2θ ≤ 90°, by intensity:
- 2θ = 31.2°, rel. 100, hkl 4 4 0
- 2θ = 55.5°, rel. 28, hkl 8 4 4
- 2θ = 44.7°, rel. 14, hkl 8 0 0
- 2θ = 28.6°, rel. 8, hkl 3 3 3
- 2θ = 73.9°, rel. 8, hkl 12 4 0
- 2θ = 65.1°, rel. 8, hkl 8 8 0
- 2θ = 32.7°, rel. 8, hkl 5 3 1
- 2θ = 19.0°, rel. 6, hkl 2 2 2
- 2θ = 36.8°, rel. 5, hkl 6 2 2
- 2θ = 51.3°, rel. 5, hkl 7 5 3

Crystal structure
Cell lengths 16.221, 16.221, 16.221 Å; angles 90.00, 90.00, 90.00 degrees
Space group Fm-3m (No. 225)
Inequivalent atoms, fractional coordinates:
La (0.125, 0.125, 0.125) x32
La (0.150, 0.150, 0.350) x32
Dy (0.000, 0.000, 0.000) x4
Dy (0.000, 0.250, 0.250) x24
Y (0.000, 0.000, 0.264) x24

# 3
Simulated PXRD pattern of Ce3RuPt2 for Cu Kα, from a DFT-relaxed cell (PBE, Alexandria).
Kinematic intensities with the Lorentz-polarization factor, no thermal factor.

Most intense lines, 15° ≤ 2θ ≤ 90°, by intensity:
- 2θ = 32.7°, rel. 100, hkl 4 0 -2
- 2θ = 31.1°, rel. 95, hkl 2 0 2
- 2θ = 37.9°, rel. 88, hkl 2 2 1
- 2θ = 40.1°, rel. 87, hkl 6 0 0
- 2θ = 34.4°, rel. 76, hkl 0 2 1
- 2θ = 42.1°, rel. 61, hkl 4 2 -1
- 2θ = 32.9°, rel. 46, hkl 3 1 -2
- 2θ = 31.9°, rel. 39, hkl 1 1 2
- 2θ = 35.9°, rel. 37, hkl 2 2 -1
- 2θ = 39.2°, rel. 32, hkl 3 1 2

Crystal structure
Cell lengths 13.808, 5.623, 7.184 Å; angles 90.00, 102.30, 90.00 degrees
Space group C2/c (No. 15)
Inequivalent atoms, fractional coordinates:
Ce (0.000, 0.136, 0.250) x4
Ce (0.168, 0.393, 0.643) x8
Ru (0.000, 0.382, 0.750) x4
Pt (0.162, 0.103, 0.012) x8